(1)
Cs2UHgBr6: computed PXRD pattern (Cu Kα (λ = 1.5418 Å)), based on DFT lattice parameters and positions (GGA-PBE).
Intensities are scaled so that the largest is 100.

a = 7.967 Å, b = 12.100 Å, c = 10.851 Å
α = 90.00°, β = 90.00°, γ = 90.00°
Sites, in units of the cell vectors:
Cs 0.250 0.026 0.171
Cs 0.250 0.474 0.171
Cs 0.750 0.526 0.829
Cs 0.750 0.974 0.829
U 0.250 0.750 0.831
U 0.750 0.250 0.169
Hg 0.250 0.250 0.650
Hg 0.750 0.750 0.350
Br 0.003 0.250 0.344
Br 0.008 0.750 0.018
Br 0.250 0.518 0.834
Br 0.250 0.982 0.834
Br 0.492 0.750 0.018
Br 0.497 0.250 0.344
Br 0.503 0.750 0.656
Br 0.508 0.250 0.982
Br 0.750 0.018 0.166
Br 0.750 0.482 0.166
Br 0.992 0.250 0.982
Br 0.997 0.750 0.656

Peak list (10 most intense, 10 to 80 degrees two-theta, in order of falling intensity)
| 2theta | I/Imax |
| --- | --- |
| 28.8 | 100.0 |
| 20.2 | 69.4 |
| 29.5 | 46.0 |
| 28.1 | 38.5 |
| 15.6 | 34.2 |
| 11.0 | 33.2 |
| 33.5 | 32.2 |
| 13.8 | 31.2 |
| 47.0 | 28.8 |
| 41.0 | 23.9 |

=====

(2)
MgHgAu2: computed PXRD pattern (Cu Kα (λ = 1.5418 Å)), based on DFT lattice parameters and positions (GGA-PBE).
Intensities are scaled so that the largest is 100.

a = 3.224 Å, b = 4.478 Å, c = 5.737 Å
α = 90.00°, β = 105.98°, γ = 90.00°
Sites, in units of the cell vectors:
Mg 0.000 0.000 0.000
Hg 0.323 0.500 0.644
Au 0.572 0.500 0.150
Au 0.734 0.000 0.464

Peak list (10 most intense, 10 to 80 degrees two-theta, in order of falling intensity)
| 2theta | I/Imax |
| --- | --- |
| 35.3 | 100.0 |
| 38.3 | 82.6 |
| 40.3 | 43.8 |
| 28.9 | 43.0 |
| 42.3 | 36.5 |
| 42.5 | 36.3 |
| 16.1 | 33.9 |
| 50.3 | 30.9 |
| 19.8 | 19.9 |
| 25.6 | 19.8 |

=====

(3)
CeMg2: computed PXRD pattern (Cu Kα (λ = 1.5418 Å)), based on DFT lattice parameters and positions (GGA-PBE).
Intensities are scaled so that the largest is 100.

a = 9.606 Å, b = 6.062 Å, c = 5.456 Å
α = 90.00°, β = 106.26°, γ = 90.00°
Sites, in units of the cell vectors:
Ce 0.000 0.115 0.250
Ce 0.000 0.885 0.750
Ce 0.500 0.385 0.750
Ce 0.500 0.615 0.250
Mg 0.163 0.386 0.793
Mg 0.163 0.614 0.293
Mg 0.337 0.114 0.207
Mg 0.337 0.886 0.707
Mg 0.663 0.114 0.293
Mg 0.663 0.886 0.793
Mg 0.837 0.386 0.707
Mg 0.837 0.614 0.207

Peak list (10 most intense, 10 to 80 degrees two-theta, in order of falling intensity)
| 2theta | I/Imax |
| --- | --- |
| 34.2 | 100.0 |
| 17.5 | 70.7 |
| 19.2 | 53.7 |
| 32.7 | 44.9 |
| 32.9 | 32.8 |
| 26.3 | 25.8 |
| 37.0 | 25.3 |
| 22.5 | 24.9 |
| 41.3 | 21.2 |
| 34.3 | 19.3 |

=====

(4)
Li2SbRh2: computed PXRD pattern (Cu Kα (λ = 1.5418 Å)), based on DFT lattice parameters and positions (GGA-PBE).
Intensities are scaled so that the largest is 100.

a = 4.362 Å, b = 4.362 Å, c = 12.753 Å
α = 90.00°, β = 90.00°, γ = 120.00°
Sites, in units of the cell vectors:
Li 0.000 0.000 0.086
Li 0.000 0.000 0.914
Li 0.333 0.667 0.581
Li 0.333 0.667 0.752
Li 0.667 0.333 0.248
Li 0.667 0.333 0.419
Sb 0.000 0.000 0.500
Sb 0.333 0.667 0.167
Sb 0.667 0.333 0.833
Rh 0.000 0.000 0.283
Rh 0.000 0.000 0.717
Rh 0.333 0.667 0.384
Rh 0.333 0.667 0.949
Rh 0.667 0.333 0.051
Rh 0.667 0.333 0.616

Peak list (10 most intense, 10 to 80 degrees two-theta, in order of falling intensity)
| 2theta | I/Imax |
| --- | --- |
| 41.4 | 100.0 |
| 24.6 | 82.6 |
| 36.9 | 79.6 |
| 42.8 | 74.9 |
| 76.4 | 26.2 |
| 61.0 | 25.6 |
| 56.6 | 22.5 |
| 72.5 | 21.2 |
| 75.5 | 16.4 |
| 48.7 | 12.7 |

=====

(5)
Zn3Ag2Au8: computed PXRD pattern (Cu Kα (λ = 1.5418 Å)), based on DFT lattice parameters and positions (GGA-PBE).
Intensities are scaled so that the largest is 100.

a = 7.168 Å, b = 4.548 Å, c = 8.238 Å
α = 90.00°, β = 115.52°, γ = 90.00°
Sites, in units of the cell vectors:
Zn 0.000 0.000 0.000
Zn 0.294 0.500 0.000
Zn 0.706 0.500 0.000
Ag 0.232 0.000 0.465
Ag 0.768 0.000 0.535
Au 0.118 0.500 0.238
Au 0.190 0.000 0.795
Au 0.345 0.500 0.688
Au 0.394 0.000 0.204
Au 0.606 0.000 0.796
Au 0.655 0.500 0.312
Au 0.810 0.000 0.205
Au 0.882 0.500 0.762

Peak list (10 most intense, 10 to 80 degrees two-theta, in order of falling intensity)
| 2theta | I/Imax |
| --- | --- |
| 40.1 | 100.0 |
| 40.3 | 98.2 |
| 39.6 | 77.8 |
| 31.8 | 76.5 |
| 23.9 | 59.9 |
| 38.3 | 58.4 |
| 41.5 | 42.6 |
| 49.0 | 31.0 |
| 46.8 | 25.2 |
| 51.0 | 22.0 |

=====

(6)
CaCrNi: computed PXRD pattern (Cu Kα (λ = 1.5418 Å)), based on DFT lattice parameters and positions (GGA-PBE).
Intensities are scaled so that the largest is 100.

a = 6.063 Å, b = 5.395 Å, c = 6.946 Å
α = 90.00°, β = 91.22°, γ = 90.00°
Sites, in units of the cell vectors:
Ca 0.246 0.000 0.160
Ca 0.254 0.500 0.840
Ca 0.746 0.500 0.160
Ca 0.754 0.000 0.840
Cr 0.000 0.290 0.500
Cr 0.000 0.710 0.500
Cr 0.500 0.210 0.500
Cr 0.500 0.790 0.500
Ni 0.213 0.000 0.668
Ni 0.287 0.500 0.332
Ni 0.713 0.500 0.668
Ni 0.787 0.000 0.332

Peak list (10 most intense, 10 to 80 degrees two-theta, in order of falling intensity)
| 2theta | I/Imax |
| --- | --- |
| 12.7 | 100.0 |
| 34.3 | 58.1 |
| 45.0 | 42.8 |
| 39.0 | 25.2 |
| 33.8 | 23.3 |
| 42.4 | 22.8 |
| 32.0 | 13.9 |
| 59.7 | 11.6 |
| 57.5 | 10.8 |
| 47.1 | 10.2 |

=====

(7)
Sr2Li5Rh5: computed PXRD pattern (Cu Kα (λ = 1.5418 Å)), based on DFT lattice parameters and positions (GGA-PBE).
Intensities are scaled so that the largest is 100.

a = 4.289 Å, b = 5.165 Å, c = 9.520 Å
α = 90.00°, β = 90.00°, γ = 90.00°
Sites, in units of the cell vectors:
Sr 0.000 0.000 0.000
Sr 0.000 0.500 0.500
Li 0.000 0.000 0.312
Li 0.000 0.000 0.688
Li 0.000 0.500 0.166
Li 0.000 0.500 0.834
Li 0.500 0.000 0.500
Rh 0.500 0.248 0.248
Rh 0.500 0.248 0.752
Rh 0.500 0.500 0.000
Rh 0.500 0.752 0.248
Rh 0.500 0.752 0.752

Peak list (10 most intense, 10 to 80 degrees two-theta, in order of falling intensity)
| 2theta | I/Imax |
| --- | --- |
| 28.0 | 100.0 |
| 39.7 | 83.0 |
| 28.6 | 64.5 |
| 20.7 | 53.7 |
| 59.3 | 50.2 |
| 37.8 | 48.7 |
| 40.8 | 40.9 |
| 42.1 | 38.4 |
| 45.2 | 33.5 |
| 39.4 | 33.0 |

=====

(8)
Rb2HBrO: computed PXRD pattern (Cu Kα (λ = 1.5418 Å)), based on DFT lattice parameters and positions (GGA-PBE).
Intensities are scaled so that the largest is 100.

a = 5.654 Å, b = 5.654 Å, c = 4.553 Å
α = 90.00°, β = 90.00°, γ = 90.00°
Sites, in units of the cell vectors:
Rb 0.000 0.500 0.000
Rb 0.500 0.000 0.000
H 0.000 0.000 0.317
Br 0.500 0.500 0.511
O 0.000 0.000 0.102

Peak list (10 most intense, 10 to 80 degrees two-theta, in order of falling intensity)
| 2theta | I/Imax |
| --- | --- |
| 29.7 | 100.0 |
| 31.7 | 54.3 |
| 55.2 | 34.2 |
| 25.1 | 25.0 |
| 51.5 | 23.7 |
| 45.4 | 19.1 |
| 15.7 | 15.5 |
| 61.8 | 13.6 |
| 19.5 | 13.4 |
| 39.6 | 13.0 |

=====

(9)
RbNa2CeCl8: computed PXRD pattern (Cu Kα (λ = 1.5418 Å)), based on DFT lattice parameters and positions (GGA-PBE).
Intensities are scaled so that the largest is 100.

a = 5.755 Å, b = 6.870 Å, c = 9.483 Å
α = 90.02°, β = 90.14°, γ = 90.75°
Sites, in units of the cell vectors:
Rb 0.000 0.000 0.000
Na 0.500 0.500 0.270
Na 0.500 0.500 0.730
Ce 0.000 0.000 0.500
Cl 0.246 0.847 0.295
Cl 0.247 0.848 0.706
Cl 0.250 0.325 0.500
Cl 0.251 0.486 0.000
Cl 0.749 0.514 0.000
Cl 0.750 0.675 0.500
Cl 0.753 0.152 0.294
Cl 0.754 0.153 0.705

Peak list (10 most intense, 10 to 80 degrees two-theta, in order of falling intensity)
| 2theta | I/Imax |
| --- | --- |
| 27.5 | 100.0 |
| 20.3 | 92.4 |
| 24.3 | 80.2 |
| 38.7 | 64.4 |
| 39.0 | 60.2 |
| 12.9 | 54.3 |
| 15.4 | 51.2 |
| 20.0 | 45.6 |
| 30.5 | 45.6 |
| 18.7 | 41.5 |

=====

(10)
BaHg2Br8: computed PXRD pattern (Cu Kα (λ = 1.5418 Å)), based on DFT lattice parameters and positions (GGA-PBE).
Intensities are scaled so that the largest is 100.

a = 8.414 Å, b = 8.414 Å, c = 8.414 Å
α = 123.36°, β = 123.36°, γ = 84.27°
Sites, in units of the cell vectors:
Ba 0.000 0.000 0.000
Hg 0.250 0.750 0.500
Hg 0.750 0.250 0.500
Br 0.079 0.563 0.861
Br 0.217 0.079 0.516
Br 0.299 0.437 0.516
Br 0.437 0.921 0.139
Br 0.563 0.701 0.484
Br 0.701 0.217 0.139
Br 0.783 0.299 0.861
Br 0.921 0.783 0.484

Peak list (10 most intense, 10 to 80 degrees two-theta, in order of falling intensity)
| 2theta | I/Imax |
| --- | --- |
| 21.2 | 100.0 |
| 36.6 | 83.8 |
| 38.5 | 59.2 |
| 15.7 | 56.0 |
| 26.0 | 54.0 |
| 31.7 | 45.9 |
| 33.1 | 44.0 |
| 26.5 | 27.2 |
| 46.3 | 27.0 |
| 46.5 | 21.6 |

=====

(11)
Tb4NdSe7: computed PXRD pattern (Cu Kα (λ = 1.5418 Å)), based on DFT lattice parameters and positions (GGA-PBE).
Intensities are scaled so that the largest is 100.

a = 7.078 Å, b = 7.078 Å, c = 12.313 Å
α = 103.74°, β = 103.74°, γ = 32.87°
Sites, in units of the cell vectors:
Tb 0.000 0.000 0.000
Tb 0.187 0.187 0.767
Tb 0.588 0.588 0.395
Tb 0.888 0.888 0.583
Nd 0.774 0.774 0.160
Se 0.139 0.139 0.231
Se 0.228 0.228 0.531
Se 0.389 0.389 0.076
Se 0.547 0.547 0.631
Se 0.626 0.626 0.928
Se 0.845 0.845 0.796
Se 0.930 0.930 0.370

Peak list (10 most intense, 10 to 80 degrees two-theta, in order of falling intensity)
| 2theta | I/Imax |
| --- | --- |
| 31.4 | 100.0 |
| 22.5 | 96.3 |
| 32.4 | 81.2 |
| 29.9 | 80.8 |
| 23.1 | 68.9 |
| 45.3 | 61.1 |
| 36.8 | 55.3 |
| 39.6 | 53.3 |
| 30.2 | 44.6 |
| 44.8 | 43.7 |